DyGa4Pt8: simulated powder X-ray diffraction pattern (Cu Kα X-rays), based on a DFT-relaxed cell (PBE, Alexandria).

Cell and atoms:
```
DyGa4Pt8
1.0
6.137 0.000 0.000
0.000 6.137 0.000
0.000 0.000 6.137
Dy Ga Pt
1 4 8
direct
0.000 0.000 0.000 Dy
0.000 0.500 0.500 Ga
0.500 0.000 0.500 Ga
0.500 0.500 0.000 Ga
0.500 0.500 0.500 Ga
0.258 0.258 0.258 Pt
0.258 0.258 0.742 Pt
0.258 0.742 0.258 Pt
0.258 0.742 0.742 Pt
0.742 0.258 0.258 Pt
0.742 0.258 0.742 Pt
0.742 0.742 0.258 Pt
0.742 0.742 0.742 Pt
```

Top 10 peaks for 2θ = 10–90°, in order of falling intensity:
2θ 41.62, d = 2.170 Å, I 100
2θ 29.10, d = 3.069 Å, I 38
2θ 75.96, d = 1.253 Å, I 34
2θ 60.33, d = 1.534 Å, I 17
2θ 68.36, d = 1.372 Å, I 14
2θ 51.59, d = 1.772 Å, I 11
2θ 25.13, d = 3.543 Å, I 6
2θ 20.47, d = 4.340 Å, I 4
2θ 49.24, d = 1.850 Å, I 3
2θ 35.84, d = 2.506 Å, I 2